Simulated PXRD pattern
Compound: SmDyHoN3
Radiation: Cu Kα X-rays
Structure: a crystal structure in Alexandria, relaxed with GGA-PBE
Intensities are scaled so that the largest is 100.

Structure:
Cell: 6.0125 3.4779 9.0499 Å, 90.00 101.54 90.00°
Sites, in units of the cell vectors:
Sm: 0.1565 0.2500 0.1983
Sm: 0.8435 0.7500 0.8017
Dy: 0.2692 0.7500 0.5449
Dy: 0.7308 0.2500 0.4551
Ho: 0.3483 0.2500 0.8610
Ho: 0.6517 0.7500 0.1390
N: 0.0382 0.2500 0.6692
N: 0.2525 0.7500 0.9950
N: 0.4647 0.7500 0.3450
N: 0.5353 0.2500 0.6550
N: 0.7475 0.2500 0.0050
N: 0.9618 0.7500 0.3308

Most intense lines, 5° ≤ 2θ ≤ 70°, in order of rising 2θ:
2θ/deg	intensity
29.99	37
30.24	39
30.35	23
31.02	18
32.51	100
34.39	92
39.99	19
52.65	23
54.01	21
61.76	21

Simulated PXRD pattern
Compound: CuBNF2
Radiation: Cu Kα X-rays
Structure: a crystal structure in Alexandria, relaxed with GGA-PBE
Intensities are scaled so that the largest is 100.

Structure:
Cell: 4.2060 4.2060 2.7348 Å, 90.00 90.00 90.00°
Sites, in units of the cell vectors:
Cu: 0.0000 0.0000 0.0000
B: 0.5000 0.5000 0.5000
N: 0.5000 0.5000 0.0000
F: 0.0000 0.5000 0.5000
F: 0.5000 0.0000 0.5000

Most intense lines, 5° ≤ 2θ ≤ 70°, in order of rising 2θ:
2θ/deg	intensity
21.12	59
30.05	34
39.30	49
43.01	74
45.03	100
48.39	16
55.09	6
59.66	28
62.45	20
68.64	7

Simulated PXRD pattern
Compound: Pm3Dy2Tm4
Radiation: Cu Kα X-rays
Structure: a crystal structure in Alexandria, relaxed with GGA-PBE
Intensities are scaled so that the largest is 100.

Structure:
Cell: 6.4047 6.4047 9.0741 Å, 101.07 101.07 52.83°
Sites, in units of the cell vectors:
Pm: 0.0000 0.0000 0.0000
Pm: 0.1192 0.1192 0.6889
Pm: 0.8808 0.8808 0.3111
Dy: 0.4346 0.4346 0.7020
Dy: 0.5654 0.5654 0.2980
Tm: 0.2282 0.2282 0.3664
Tm: 0.3227 0.3227 0.0368
Tm: 0.6773 0.6773 0.9632
Tm: 0.7718 0.7718 0.6336

Most intense lines, 5° ≤ 2θ ≤ 70°, in order of rising 2θ:
2θ/deg	intensity
30.25	23
31.40	30
32.00	100
33.58	8
44.16	18
47.56	8
54.93	7
56.28	20
58.10	9
67.00	6

Simulated PXRD pattern
Compound: CeSi3Au
Radiation: Cu Kα X-rays
Structure: a crystal structure in Alexandria, relaxed with GGA-PBE
Intensities are scaled so that the largest is 100.

Structure:
Cell: 4.3558 4.0800 11.0900 Å, 90.00 99.16 90.00°
Sites, in units of the cell vectors:
Ce: 0.1876 0.0000 0.3444
Ce: 0.8124 0.0000 0.6556
Si: 0.0993 0.5000 0.1057
Si: 0.2716 0.5000 0.5480
Si: 0.4311 0.0000 0.0989
Si: 0.5689 0.0000 0.9011
Si: 0.7284 0.5000 0.4520
Si: 0.9007 0.5000 0.8943
Au: 0.3255 0.5000 0.7743
Au: 0.6745 0.5000 0.2257

Most intense lines, 5° ≤ 2θ ≤ 70°, in order of rising 2θ:
2θ/deg	intensity
16.19	83
29.47	42
30.41	50
32.18	100
32.78	34
32.93	47
39.65	35
41.85	24
43.28	23
44.41	31